For DyTlCoS3, DFT lattice parameters and positions (PBE) gives the simulated XRD peak list in this record (copper Kα).
Lines closer than 0.1° are merged.

Structure:
```
data_DyTlCoS3
_cell_length_a 10.404
_cell_length_b 3.894
_cell_length_c 14.375
_cell_angle_alpha 90.00
_cell_angle_beta 90.00
_cell_angle_gamma 90.00
_symmetry_space_group_name_H-M 'P n m a'
_symmetry_Int_Tables_number 62
_symmetry_space_group_name_Hall '-P 2ac 2n'
loop_
_atom_site_label
_atom_site_fract_x
_atom_site_fract_y
_atom_site_fract_z
Dy1 0.015 0.250 0.246
Tl1 0.228 0.750 0.501
Co1 0.235 0.250 0.722
S1 0.056 0.250 0.632
S2 0.092 0.750 0.127
S3 0.237 0.750 0.811
```

Principal peaks in the range 10° ≤ 2θ ≤ 80°, in order of falling intensity:
2theta	I/Imax	(hkl)
21.08	100	2 0 2
30.81	87	1 1 3
24.77	54	0 0 4
25.20	42	1 1 1
34.32	41	2 1 3
42.92	32	4 0 4
35.21	31	3 1 1
34.48	31	4 0 0
29.32	31	2 1 1
41.50	27	2 0 6

For YTaBi2Ir2, DFT lattice parameters and positions (PBE) gives the simulated XRD peak list in this record (copper Kα).
Lines closer than 0.1° are merged.

Structure:
```
data_YTaBi2Ir2
_cell_length_a 4.612
_cell_length_b 9.209
_cell_length_c 6.506
_cell_angle_alpha 90.00
_cell_angle_beta 90.00
_cell_angle_gamma 90.00
_symmetry_space_group_name_H-M 'P m n 21'
_symmetry_Int_Tables_number 31
_symmetry_space_group_name_Hall 'P 2ac -2'
loop_
_atom_site_label
_atom_site_fract_x
_atom_site_fract_y
_atom_site_fract_z
Y1 0.000 0.126 0.000
Ta1 0.000 0.619 0.024
Bi1 0.000 0.124 0.494
Bi2 0.000 0.630 0.534
Ir1 0.000 0.392 0.285
Ir2 0.000 0.850 0.235
```

Principal peaks in the range 10° ≤ 2θ ≤ 80°, in order of falling intensity:
2theta	I/Imax	(hkl)
39.12	100	2 0 0
23.66	36	1 0 1
70.86	26	3 2 2
46.22	16	2 2 1
27.38	12	1 2 0
56.48	11	2 4 0
56.58	5	0 0 4
70.95	4	0 4 4
48.41	4	0 4 2
62.08	3	3 0 1